Calculated XRD peak list
Compound: Li5AgF8
Radiation: Cu Ka
Structure: the PBE geometry in Alexandria
Kinematic intensities with the Lorentz-polarization factor, no thermal factor.

a b c (Å): 5.982 5.982 5.982
angles (deg): 103.64 103.64 121.89
Sites, in units of the cell vectors:
Li  0.000  0.000  0.000
Li  0.062  0.153  0.490
Li  0.428  0.938  0.091
Li  0.663  0.572  0.510
Li  0.847  0.337  0.909
Ag  0.250  0.750  0.500
F  0.260  0.582  0.174
F  0.362  0.167  0.300
F  0.408  0.087  0.826
F  0.418  0.592  0.678
F  0.833  0.132  0.195
F  0.868  0.063  0.700
F  0.913  0.740  0.322
F  0.937  0.638  0.805

Peak list (10 most intense, 2θ from 5° to 70°, by angle)
d_spacing  intensity
5.229  58
4.569  100
2.874  58
2.540  25
2.339  28
2.285  30
2.269  16
1.934  18
1.822  20
1.714  14

=====

Calculated XRD peak list
Compound: LiAgF3
Radiation: Cu Ka
Structure: the PBE geometry in Alexandria
Kinematic intensities with the Lorentz-polarization factor, no thermal factor.

a b c (Å): 5.408 5.408 15.127
angles (deg): 90.00 90.00 120.00
Sites, in units of the cell vectors:
Li  0.034  0.069  0.250
Li  0.034  0.966  0.917
Li  0.069  0.034  0.083
Li  0.931  0.966  0.583
Li  0.966  0.034  0.417
Li  0.966  0.931  0.750
Ag  0.307  0.615  0.750
Ag  0.307  0.693  0.417
Ag  0.385  0.693  0.083
Ag  0.615  0.307  0.583
Ag  0.693  0.307  0.917
Ag  0.693  0.385  0.250
F  0.000  0.263  0.833
F  0.000  0.737  0.333
F  0.058  0.344  0.157
F  0.058  0.714  0.010
F  0.263  0.000  0.500
F  0.263  0.263  0.667
F  0.286  0.344  0.343
F  0.286  0.942  0.823
F  0.344  0.058  0.177
F  0.344  0.286  0.990
F  0.656  0.714  0.490
F  0.656  0.942  0.677
F  0.714  0.058  0.323
F  0.714  0.656  0.843
F  0.737  0.000  0.000
F  0.737  0.737  0.167
F  0.942  0.286  0.510
F  0.942  0.656  0.657

Peak list (10 most intense, 2θ from 5° to 70°, by angle)
d_spacing  intensity
4.683  20
3.432  100
2.704  19
2.383  7
2.220  10
2.124  20
1.844  30
1.670  17
1.582  9
1.561  7

=====

Calculated XRD peak list
Compound: LiAg2F6
Radiation: Cu Ka
Structure: the PBE geometry in Alexandria
Kinematic intensities with the Lorentz-polarization factor, no thermal factor.

a b c (Å): 4.922 4.922 10.201
angles (deg): 90.00 90.00 90.00
Sites, in units of the cell vectors:
Li  0.000  0.500  0.249
Li  0.500  0.000  0.751
Ag  0.000  0.500  0.584
Ag  0.000  0.500  0.916
Ag  0.500  0.000  0.084
Ag  0.500  0.000  0.416
F  0.197  0.697  0.079
F  0.198  0.698  0.420
F  0.201  0.701  0.750
F  0.299  0.201  0.250
F  0.302  0.198  0.580
F  0.303  0.197  0.921
F  0.697  0.803  0.921
F  0.698  0.802  0.580
F  0.701  0.799  0.250
F  0.799  0.299  0.750
F  0.802  0.302  0.420
F  0.803  0.303  0.079

Peak list (10 most intense, 2θ from 5° to 70°, by angle)
d_spacing  intensity
5.101  25
4.433  72
3.480  100
2.875  23
2.798  70
2.152  21
1.848  72
1.740  20
1.528  16
1.478  24